[1]
Dy5Y2Mg: computed powder XRD pattern (Cu Kα (λ = 1.5418 Å)), based on a DFT-relaxed cell (PBE, Alexandria).
Intensities are scaled so that the largest is 100.

The 8 most intense peaks (2θ = 5–70°), by angle:
| 2θ (°) | I_rel |
| --- | --- |
| 27.98 | 36 |
| 31.24 | 100 |
| 31.35 | 73 |
| 31.50 | 64 |
| 32.01 | 30 |
| 32.93 | 41 |
| 34.29 | 76 |
| 36.45 | 38 |

Crystal structure
```
Dy5Y2Mg
1.0
3.563 0.000 0.000
0.026 8.633 0.000
1.761 2.630 16.112
Dy Y Mg
10 4 2
direct
0.052 0.488 0.407 Dy
0.080 0.135 0.345 Dy
0.127 0.785 0.245 Dy
0.207 0.465 0.089 Dy
0.323 0.881 0.846 Dy
0.677 0.119 0.154 Dy
0.793 0.535 0.911 Dy
0.873 0.215 0.755 Dy
0.920 0.865 0.655 Dy
0.948 0.512 0.593 Dy
0.273 0.181 0.957 Y
0.480 0.190 0.541 Y
0.520 0.810 0.459 Y
0.727 0.819 0.043 Y
0.372 0.554 0.749 Mg
0.628 0.446 0.251 Mg
```

***

[2]
Ca2HoSe4: computed powder XRD pattern (Cu Kα (λ = 1.5418 Å)), based on a DFT-relaxed cell (PBE, Alexandria).
Intensities are scaled so that the largest is 100.

The 8 most intense peaks (2θ = 5–70°), by angle:
| 2θ (°) | I_rel |
| --- | --- |
| 14.09 | 79 |
| 23.38 | 42 |
| 29.26 | 66 |
| 30.11 | 88 |
| 32.26 | 100 |
| 40.86 | 45 |
| 41.31 | 45 |
| 43.19 | 35 |

Crystal structure
```
Ca2HoSe4
1.0
1.987 -7.097 0.000
1.987 7.097 0.000
0.000 0.000 13.523
Ca Ho Se
4 2 8
direct
0.132 0.868 0.571 Ca
0.132 0.868 0.929 Ca
0.868 0.132 0.071 Ca
0.868 0.132 0.429 Ca
0.376 0.624 0.750 Ho
0.624 0.376 0.250 Ho
0.019 0.981 0.750 Se
0.221 0.779 0.126 Se
0.221 0.779 0.374 Se
0.500 0.500 0.000 Se
0.500 0.500 0.500 Se
0.779 0.221 0.626 Se
0.779 0.221 0.874 Se
0.981 0.019 0.250 Se
```

***

[3]
BaTl2Se: computed powder XRD pattern (Cu Kα (λ = 1.5418 Å)), based on a DFT-relaxed cell (PBE, Alexandria).
Intensities are scaled so that the largest is 100.

The 8 most intense peaks (2θ = 5–70°), by angle:
| 2θ (°) | I_rel |
| --- | --- |
| 13.35 | 17 |
| 26.89 | 35 |
| 27.42 | 21 |
| 28.40 | 100 |
| 33.92 | 19 |
| 34.35 | 49 |
| 37.46 | 23 |
| 41.24 | 18 |

Crystal structure
```
BaTl2Se
1.0
4.378 0.000 0.000
0.000 2.401 6.631
0.000 -2.401 6.631
Ba Tl Se
1 2 1
direct
0.000 0.000 0.000 Ba
0.000 0.273 0.273 Tl
0.500 0.712 0.712 Tl
0.500 0.476 0.476 Se
```

***

[4]
Tb3Nd2Ho4: computed powder XRD pattern (Cu Kα (λ = 1.5418 Å)), based on a DFT-relaxed cell (PBE, Alexandria).
Intensities are scaled so that the largest is 100.

The 8 most intense peaks (2θ = 5–70°), by angle:
| 2θ (°) | I_rel |
| --- | --- |
| 30.22 | 58 |
| 30.76 | 100 |
| 31.74 | 93 |
| 37.48 | 31 |
| 37.89 | 26 |
| 50.22 | 13 |
| 55.34 | 19 |
| 55.81 | 20 |

Crystal structure
```
Tb3Nd2Ho4
1.0
8.175 -5.804 0.000
8.175 5.804 0.000
-0.663 0.000 6.100
Tb Nd Ho
6 4 8
direct
0.098 0.902 0.750 Tb
0.238 0.433 0.902 Tb
0.433 0.238 0.402 Tb
0.567 0.762 0.598 Tb
0.762 0.567 0.098 Tb
0.902 0.098 0.250 Tb
0.020 0.733 0.177 Nd
0.267 0.980 0.323 Nd
0.733 0.020 0.677 Nd
0.980 0.267 0.823 Nd
0.078 0.355 0.349 Ho
0.314 0.594 0.484 Ho
0.355 0.078 0.849 Ho
0.406 0.686 0.016 Ho
0.594 0.314 0.984 Ho
0.645 0.922 0.151 Ho
0.686 0.406 0.516 Ho
0.922 0.645 0.651 Ho
```

***

[5]
LiCuP4Ru2O14: computed powder XRD pattern (Cu Kα (λ = 1.5418 Å)), based on a DFT-relaxed cell (PBE, Alexandria).
Intensities are scaled so that the largest is 100.

The 8 most intense peaks (2θ = 5–70°), by angle:
| 2θ (°) | I_rel |
| --- | --- |
| 16.33 | 100 |
| 17.74 | 28 |
| 19.82 | 32 |
| 26.09 | 32 |
| 28.68 | 54 |
| 30.06 | 31 |
| 35.93 | 23 |
| 37.73 | 29 |

Crystal structure
```
LiCuP4Ru2O14
1.0
4.927 0.000 0.000
-1.892 6.633 0.000
-0.586 -0.714 8.424
Li Cu P Ru O
1 1 4 2 14
direct
0.000 0.000 0.000 Li
0.127 0.277 0.734 Cu
0.095 0.449 0.079 P
0.106 0.782 0.638 P
0.479 0.847 0.180 P
0.710 0.382 0.535 P
0.095 0.111 0.356 Ru
0.604 0.617 0.857 Ru
0.214 0.965 0.546 O
0.252 0.963 0.181 O
0.274 0.397 0.943 O
0.320 0.612 0.201 O
0.339 0.686 0.689 O
0.481 0.323 0.398 O
0.593 0.858 0.014 O
0.611 0.372 0.704 O
0.706 0.906 0.318 O
0.871 0.548 0.023 O
0.880 0.613 0.515 O
0.928 0.254 0.528 O
0.943 0.833 0.780 O
0.980 0.257 0.161 O
```

***

[6]
TbSmTm2: computed powder XRD pattern (Cu Kα (λ = 1.5418 Å)), based on a DFT-relaxed cell (PBE, Alexandria).
Intensities are scaled so that the largest is 100.

The 8 most intense peaks (2θ = 5–70°), by angle:
| 2θ (°) | I_rel |
| --- | --- |
| 28.52 | 19 |
| 31.73 | 29 |
| 32.74 | 100 |
| 32.82 | 20 |
| 43.21 | 19 |
| 50.64 | 16 |
| 57.17 | 25 |
| 61.00 | 18 |

Crystal structure
```
TbSmTm2
1.0
6.237 0.000 0.000
0.000 7.237 0.000
-0.005 0.000 11.280
Tb Sm Tm
4 4 8
direct
0.166 0.247 0.377 Tb
0.166 0.753 0.877 Tb
0.834 0.247 0.123 Tb
0.834 0.753 0.623 Tb
0.332 0.499 0.125 Sm
0.332 0.501 0.625 Sm
0.668 0.499 0.375 Sm
0.668 0.501 0.875 Sm
0.168 0.246 0.874 Tm
0.168 0.754 0.374 Tm
0.333 0.001 0.125 Tm
0.333 0.999 0.625 Tm
0.667 0.001 0.375 Tm
0.667 0.999 0.875 Tm
0.832 0.246 0.626 Tm
0.832 0.754 0.126 Tm
```

***

[7]
TaPPtRhAuI: computed powder XRD pattern (Cu Kα (λ = 1.5418 Å)), based on a DFT-relaxed cell (PBE, Alexandria).
Intensities are scaled so that the largest is 100.

The 8 most intense peaks (2θ = 5–70°), by angle:
| 2θ (°) | I_rel |
| --- | --- |
| 14.27 | 40 |
| 22.98 | 45 |
| 28.66 | 34 |
| 28.78 | 51 |
| 30.16 | 68 |
| 34.05 | 100 |
| 39.11 | 72 |
| 44.12 | 66 |

Crystal structure
```
TaPPtRhAuI
1.0
4.314 0.000 0.000
0.000 4.606 0.000
-1.259 0.000 6.205
Ta P Pt Rh Au I
1 1 1 1 1 1
direct
0.000 0.000 0.000 Ta
0.825 0.500 0.292 P
0.275 0.500 0.130 Pt
0.634 0.000 0.238 Rh
0.978 0.500 0.697 Au
0.458 0.000 0.666 I
```

***

- Number 2 is which compound?
  Ca2HoSe4

***

- Number 3 is which compound?
  BaTl2Se